Structure and computed powder diffractogram of CeSm5Ho2 (a PBE-relaxed structure; Cu Kα (λ = 1.5418 Å)).
Intensities are scaled so that the largest is 100.

Peak list (10 most intense, 2θ from 10° to 90°, by angle)
| d/Å | 2theta | I (rel.) | h k l |
| --- | --- | --- | --- |
| 2.930 | 30.5 | 100 | 2 0 1 |
| 2.538 | 35.4 | 51 | 0 0 2 |
| 1.795 | 50.9 | 36 | 2 4 2 |
| 1.530 | 60.5 | 43 | 2 0 3 |
| 1.465 | 63.5 | 12 | 0 8 2 |
| 1.270 | 74.8 | 4 | 4 8 0 |
| 1.268 | 74.9 | 2 | 0 0 4 |
| 1.164 | 82.9 | 18 | 2 8 3 |
| 1.135 | 85.5 | 11 | 4 8 2 |
| 1.134 | 85.6 | 5 | 2 4 4 |

Crystal structure
Cell lengths 7.182, 14.363, 5.071 Å; angles 90.00, 90.00, 90.00 degrees
Space group Pbam (No. 55)
Asymmetric unit:
Ce 0.000 0.000 0.000 (multiplicity 2)
Sm 0.000 0.500 0.000 (multiplicity 2)
Sm 0.002 0.249 0.000 (multiplicity 4)
Sm 0.247 0.123 0.500 (multiplicity 4)
Ho 0.245 0.876 0.500 (multiplicity 4)